Entry 1:
This entry pairs a crystal structure of Li3FeO2F with its theoretical XRD peak list. Radiation: Cu Kα (λ = 1.5418 Å). Structure: a PBE+U-relaxed structure.
Neutral-atom scattering factors, no anomalous dispersion.

```
data_Li3FeO2F
_chemical_formula_sum 'Li12 Fe4 O8 F4'
_space_group_name_H-M_alt 'P n n m'
_space_group_IT_number 58
_space_group_name_Hall '-P 2 2n'
_cell_length_a 8.571
_cell_length_b 9.586
_cell_length_c 3.649
_cell_angle_alpha 90.00
_cell_angle_beta 90.00
_cell_angle_gamma 90.00
loop_
_atom_site_label
_atom_site_fract_x
_atom_site_fract_y
_atom_site_fract_z
_atom_site_occupancy
Li1 0.098 0.168 0.000 1
Li2 0.107 0.912 0.500 1
Li3 0.154 0.328 0.500 1
Fe1 0.132 0.591 0.000 1
O1 0.098 0.383 0.000 1
O2 0.144 0.115 0.500 1
F1 0.125 0.834 0.000 1
```

Main lines, low angle first (10° ≤ 2θ ≤ 90°):
2θ = 13.86°, rel. 62.7, (1 1 0); 2θ = 26.13°, rel. 100.0, (0 1 1); 2θ = 26.55°, rel. 69.2, (1 0 1); 2θ = 28.16°, rel. 55.5, (1 1 1); 2θ = 37.53°, rel. 34.4, (0 4 0); 2θ = 42.17°, rel. 41.9, (4 0 0); 2θ = 50.28°, rel. 41.2, (4 1 1); 2θ = 54.03°, rel. 29.4, (0 5 1)

Entry 2:
This entry pairs a crystal structure of Li3FeOF3 with its theoretical XRD peak list. Radiation: Cu Kα (λ = 1.5418 Å). Structure: a PBE+U-relaxed structure.
Neutral-atom scattering factors, no anomalous dispersion.

```
data_Li3FeOF3
_chemical_formula_sum 'Li12 Fe4 O4 F12'
_space_group_name_H-M_alt 'I m m a'
_space_group_IT_number 74
_space_group_name_Hall '-I 2b 2'
_cell_length_a 5.959
_cell_length_b 8.597
_cell_length_c 5.935
_cell_angle_alpha 90.00
_cell_angle_beta 90.00
_cell_angle_gamma 90.00
loop_
_atom_site_label
_atom_site_fract_x
_atom_site_fract_y
_atom_site_fract_z
_atom_site_occupancy
Li1 0.000 0.000 0.000 1
Li2 0.000 0.000 0.500 1
Li3 0.250 0.250 0.250 1
Fe1 0.250 0.250 0.750 1
O1 0.000 0.250 0.530 1
F1 0.000 0.250 0.026 1
F2 0.250 0.010 0.250 1
```

Main lines, low angle first (10° ≤ 2θ ≤ 90°):
2θ = 18.16°, rel. 100.0, (0 1 1); 2θ = 20.66°, rel. 36.9, (0 2 0); 2θ = 34.76°, rel. 26.9, (0 3 1); 2θ = 35.29°, rel. 38.9, (2 1 1); 2θ = 42.04°, rel. 44.3, (0 4 0); 2θ = 43.02°, rel. 81.1, (2 0 2); 2θ = 46.56°, rel. 22.9, (2 3 1); 2θ = 61.72°, rel. 45.4, (2 4 2)

Entry 3:
This entry pairs a crystal structure of Li4FeOF4 with its theoretical XRD peak list. Radiation: Cu Kα (λ = 1.5418 Å). Structure: a PBE+U-relaxed structure.
Neutral-atom scattering factors, no anomalous dispersion.

```
data_Li4FeOF4
_chemical_formula_sum 'Li8 Fe2 O2 F8'
_space_group_name_H-M_alt 'I 4/m'
_space_group_IT_number 87
_space_group_name_Hall '-I 4'
_cell_length_a 6.793
_cell_length_b 6.793
_cell_length_c 4.007
_cell_angle_alpha 90.00
_cell_angle_beta 90.00
_cell_angle_gamma 90.00
loop_
_atom_site_label
_atom_site_fract_x
_atom_site_fract_y
_atom_site_fract_z
_atom_site_occupancy
Li1 0.085 0.712 0.000 1
Fe1 0.000 0.000 0.500 1
O1 0.000 0.000 0.000 1
F1 0.101 0.692 0.500 1
```

Main lines, low angle first (10° ≤ 2θ ≤ 90°):
2θ = 18.47°, rel. 66.7, (1 1 0); 2θ = 25.81°, rel. 69.4, (1 0 1); 2θ = 26.24°, rel. 34.1, (2 0 0); 2θ = 37.14°, rel. 38.2, (2 1 1); 2θ = 42.06°, rel. 100.0, (3 1 0); 2θ = 45.26°, rel. 36.1, (0 0 2); 2θ = 61.00°, rel. 26.4, (2 4 0); 2θ = 63.49°, rel. 47.5, (3 1 2)

Entry 4:
This entry pairs a crystal structure of Li6FeO4F with its theoretical XRD peak list. Radiation: Cu Kα (λ = 1.5418 Å). Structure: a PBE+U-relaxed structure.
Neutral-atom scattering factors, no anomalous dispersion.

```
data_Li6FeO4F
_chemical_formula_sum 'Li12 Fe2 O8 F2'
_space_group_name_H-M_alt 'P 1 21 1'
_space_group_IT_number 4
_space_group_name_Hall 'P 2yb'
_cell_length_a 4.997
_cell_length_b 9.552
_cell_length_c 5.310
_cell_angle_alpha 90.00
_cell_angle_beta 116.77
_cell_angle_gamma 90.00
loop_
_atom_site_label
_atom_site_fract_x
_atom_site_fract_y
_atom_site_fract_z
_atom_site_occupancy
Li1 0.083 0.000 0.388 1
Li2 0.183 0.311 0.024 1
Li3 0.236 0.704 0.025 1
Li4 0.241 0.757 0.513 1
Li5 0.269 0.261 0.560 1
Li6 0.288 0.500 0.377 1
Fe1 0.320 0.993 0.988 1
O1 0.067 0.853 0.721 1
O2 0.089 0.149 0.751 1
O3 0.288 0.504 0.994 1
O4 0.371 0.875 0.305 1
F1 0.399 0.152 0.334 1
```

Main lines, low angle first (10° ≤ 2θ ≤ 90°):
2θ = 18.58°, rel. 57.0, (0 2 0); 2θ = 18.72°, rel. 51.5, (0 0 1); 2θ = 21.99°, rel. 90.8, (1 1 0); 2θ = 22.33°, rel. 88.9, (1 1 -1); 2θ = 26.49°, rel. 100.0, (0 2 1); 2θ = 35.96°, rel. 44.6, (2 0 -1); 2θ = 43.99°, rel. 49.4, (1 3 1); 2θ = 44.54°, rel. 36.5, (1 3 -2)

Entry 5:
This entry pairs a crystal structure of Li8FeO4F2 with its theoretical XRD peak list. Radiation: Cu Kα (λ = 1.5418 Å). Structure: a PBE+U-relaxed structure.
Neutral-atom scattering factors, no anomalous dispersion.

```
data_Li8FeO4F2
_chemical_formula_sum 'Li32 Fe4 O16 F8'
_space_group_name_H-M_alt 'C m c 21'
_space_group_IT_number 36
_space_group_name_Hall 'C 2c -2'
_cell_length_a 9.613
_cell_length_b 5.781
_cell_length_c 10.911
_cell_angle_alpha 90.00
_cell_angle_beta 90.00
_cell_angle_gamma 90.00
loop_
_atom_site_label
_atom_site_fract_x
_atom_site_fract_y
_atom_site_fract_z
_atom_site_occupancy
Li1 0.000 0.055 0.000 1
Li2 0.000 0.179 0.658 1
Li3 0.148 0.345 0.142 1
Li4 0.166 0.003 0.282 1
Li5 0.186 0.306 0.519 1
Fe1 0.000 0.449 0.892 1
O1 0.000 0.145 0.831 1
O2 0.000 0.466 0.563 1
O3 0.170 0.004 0.097 1
F1 0.165 0.330 0.327 1
```

Main lines, low angle first (10° ≤ 2θ ≤ 90°):
2θ = 16.25°, rel. 43.0, (0 0 2); 2θ = 17.91°, rel. 72.7, (1 1 0); 2θ = 18.46°, rel. 38.6, (2 0 0); 2θ = 24.27°, rel. 100.0, (1 1 2); 2θ = 24.69°, rel. 59.0, (2 0 2); 2θ = 31.93°, rel. 37.8, (3 1 0); 2θ = 32.83°, rel. 47.2, (0 0 4); 2θ = 33.00°, rel. 75.7, (3 1 1)

Entry 6:
This entry pairs a crystal structure of LiFe3O2F6 with its theoretical XRD peak list. Radiation: Cu Kα (λ = 1.5418 Å). Structure: a PBE+U-relaxed structure.
Neutral-atom scattering factors, no anomalous dispersion.

```
data_LiFe3O2F6
_chemical_formula_sum 'Li2 Fe6 O4 F12'
_space_group_name_H-M_alt 'P -1'
_space_group_IT_number 2
_space_group_name_Hall '-P 1'
_cell_length_a 5.170
_cell_length_b 7.128
_cell_length_c 7.539
_cell_angle_alpha 79.17
_cell_angle_beta 89.20
_cell_angle_gamma 89.79
loop_
_atom_site_label
_atom_site_fract_x
_atom_site_fract_y
_atom_site_fract_z
_atom_site_occupancy
Li1 0.210 0.157 0.163 1
Fe1 0.240 0.169 0.674 1
Fe2 0.260 0.683 0.681 1
Fe3 0.289 0.661 0.178 1
O1 0.112 0.922 0.691 1
O2 0.401 0.423 0.701 1
F1 0.040 0.197 0.908 1
F2 0.084 0.427 0.193 1
F3 0.097 0.686 0.426 1
F4 0.408 0.200 0.430 1
F5 0.426 0.687 0.929 1
F6 0.427 0.921 0.191 1
```

Main lines, low angle first (10° ≤ 2θ ≤ 90°):
2θ = 21.36°, rel. 33.9, (1 1 0); 2θ = 24.04°, rel. 72.0, (0 0 2); 2θ = 25.44°, rel. 55.5, (0 2 0); 2θ = 29.49°, rel. 49.9, (1 0 2); 2θ = 29.88°, rel. 57.2, (1 0 -2); 2θ = 30.85°, rel. 100.0, (1 -2 0); 2θ = 40.59°, rel. 32.9, (-1 1 3); 2θ = 55.42°, rel. 42.3, (1 4 0)

Entry 7:
This entry pairs a crystal structure of LiFe7O3F9 with its theoretical XRD peak list. Radiation: Cu Kα (λ = 1.5418 Å). Structure: a PBE+U-relaxed structure.
Neutral-atom scattering factors, no anomalous dispersion.

```
data_LiFe7O3F9
_chemical_formula_sum 'Li1 Fe7 O3 F9'
_space_group_name_H-M_alt 'P 1'
_space_group_IT_number 1
_space_group_name_Hall 'P 1'
_cell_length_a 5.459
_cell_length_b 5.698
_cell_length_c 9.233
_cell_angle_alpha 74.19
_cell_angle_beta 89.53
_cell_angle_gamma 61.75
loop_
_atom_site_label
_atom_site_fract_x
_atom_site_fract_y
_atom_site_fract_z
_atom_site_occupancy
Li1 0.000 0.000 0.000 1
Fe1 0.015 0.911 0.351 1
Fe2 0.294 0.500 0.756 1
Fe3 0.322 0.359 0.121 1
Fe4 0.460 0.016 0.496 1
Fe5 0.578 0.854 0.852 1
Fe6 0.756 0.470 0.266 1
Fe7 0.828 0.386 0.609 1
O1 0.028 0.208 0.456 1
O2 0.531 0.681 0.701 1
O3 0.594 0.169 0.307 1
F1 0.034 0.671 0.913 1
F2 0.052 0.188 0.135 1
F3 0.132 0.188 0.814 1
F4 0.449 0.704 0.389 1
F5 0.485 0.668 0.061 1
F6 0.574 0.180 0.658 1
F7 0.575 0.158 0.957 1
F8 0.986 0.679 0.566 1
F9 0.994 0.688 0.199 1
```

Main lines, low angle first (10° ≤ 2θ ≤ 90°):
2θ = 22.76°, rel. 24.6, (1 1 -1); 2θ = 31.31°, rel. 51.0, (-1 1 1); 2θ = 31.52°, rel. 100.0, (1 2 1); 2θ = 32.81°, rel. 36.6, (2 1 0); 2θ = 33.30°, rel. 36.1, (1 1 3); 2θ = 33.55°, rel. 38.7, (1 0 -3); 2θ = 50.99°, rel. 33.8, (2 3 0); 2θ = 51.24°, rel. 34.5, (1 3 3)

Entry 8:
This entry pairs a crystal structure of Li7FeO5F with its theoretical XRD peak list. Radiation: Cu Kα (λ = 1.5418 Å). Structure: a PBE+U-relaxed structure.
Neutral-atom scattering factors, no anomalous dispersion.

```
data_Li7FeO5F
_chemical_formula_sum 'Li14 Fe2 O10 F2'
_space_group_name_H-M_alt 'P 1'
_space_group_IT_number 1
_space_group_name_Hall 'P 1'
_cell_length_a 5.524
_cell_length_b 5.525
_cell_length_c 10.876
_cell_angle_alpha 87.24
_cell_angle_beta 87.38
_cell_angle_gamma 61.47
loop_
_atom_site_label
_atom_site_fract_x
_atom_site_fract_y
_atom_site_fract_z
_atom_site_occupancy
Li1 0.000 0.000 0.000 1
Li2 0.002 0.687 0.336 1
Li3 0.041 0.649 0.852 1
Li4 0.073 0.279 0.489 1
Li5 0.311 0.639 0.134 1
Li6 0.341 0.300 0.003 1
Li7 0.374 0.634 0.501 1
Li8 0.628 0.030 0.506 1
Li9 0.654 0.741 0.992 1
Li10 0.681 0.347 0.835 1
Li11 0.699 0.327 0.352 1
Li12 0.727 0.593 0.631 1
Li13 0.954 0.392 0.135 1
Li14 0.970 0.996 0.637 1
Fe1 0.358 0.007 0.761 1
Fe2 0.363 0.999 0.261 1
O1 0.022 0.649 0.038 1
O2 0.030 0.022 0.812 1
O3 0.057 0.320 0.308 1
O4 0.303 0.004 0.093 1
O5 0.355 0.949 0.593 1
O6 0.369 0.286 0.831 1
O7 0.369 0.672 0.309 1
O8 0.644 0.004 0.333 1
O9 0.681 0.700 0.804 1
O10 0.722 0.310 0.539 1
F1 0.002 0.670 0.540 1
F2 0.661 0.372 0.041 1
```

Main lines, low angle first (10° ≤ 2θ ≤ 90°):
2θ = 16.32°, rel. 43.3, (0 0 2); 2θ = 18.29°, rel. 100.0, (1 0 0); 2θ = 18.72°, rel. 62.8, (1 1 0); 2θ = 24.25°, rel. 89.3, (1 0 2); 2θ = 24.95°, rel. 87.9, (0 1 -2); 2θ = 25.61°, rel. 52.1, (1 1 -2); 2θ = 32.46°, rel. 56.3, (1 2 0); 2θ = 32.99°, rel. 60.3, (0 0 4)